Record 1
Tb4PuN4: theoretical powder diffraction line list (Cu Kα, 1.54184 Å), based on a GGA-PBE-relaxed structure.
Neutral-atom scattering factors, no anomalous dispersion.

Peak list (10 most intense, 2θ from 15° to 90°, in order of falling intensity)
d [Å]	I (rel.)	h k l
2.864	100	2 1 1
1.754	46	1 3 2
2.483	44	1 3 0
1.497	29	5 0 1
2.475	22	0 0 2
1.432	15	4 2 2
1.493	15	2 1 3
1.110	13	2 6 2
1.138	12	5 0 3
1.108	7	1 3 4

Structure:
Cell lengths 7.852, 7.852, 4.950 Å; angles 90.00, 90.00, 90.00 degrees
Space group I4/m (No. 87)
Symmetry-distinct sites (fractional):
Tb 0.106 0.310 0.000 x8
Pu 0.000 0.000 0.500 x2
N 0.096 0.295 0.500 x8



Record 2
Tb3Pu3WN8: theoretical powder diffraction line list (Cu Kα, 1.54184 Å), based on a GGA-PBE-relaxed structure.
Neutral-atom scattering factors, no anomalous dispersion.

Peak list (10 most intense, 2θ from 15° to 90°, in order of falling intensity)
d [Å]	I (rel.)	h k l
2.774	100	2 2 0
2.405	61	2 2 -2
2.796	34	0 0 2
1.697	31	0 4 0
2.411	31	4 0 0
1.448	25	6 2 -4
1.709	21	2 2 2
5.593	21	0 0 1
1.452	20	6 2 0
2.895	12	4 0 -1

Structure:
Cell lengths 11.753, 6.789, 6.815 Å; angles 90.00, 124.85, 90.00 degrees
Space group C2/m (No. 12)
Symmetry-distinct sites (fractional):
Tb 0.000 0.000 0.000 x2
Tb 0.250 0.250 0.000 x4
Pu 0.000 0.500 0.500 x2
Pu 0.250 0.250 0.500 x4
W 0.000 0.000 0.500 x2
N 0.004 0.225 0.288 x8
N 0.220 0.000 0.710 x4
N 0.249 0.000 0.250 x4



Record 3
Pu2TcN4: theoretical powder diffraction line list (Cu Kα, 1.54184 Å), based on a GGA-PBE-relaxed structure.
Neutral-atom scattering factors, no anomalous dispersion.

Peak list (10 most intense, 2θ from 15° to 90°, in order of falling intensity)
d [Å]	I (rel.)	h k l
2.769	100	1 3 1
2.696	31	2 0 0
2.814	31	0 0 2
3.697	27	1 1 1
1.946	26	2 0 2
1.615	24	1 3 3
1.570	19	3 3 1
2.954	11	0 4 0
1.991	10	2 4 0
1.549	10	1 7 1

Structure:
Cell lengths 5.391, 11.818, 5.627 Å; angles 90.00, 90.00, 90.00 degrees
Space group Cmce (No. 64)
Symmetry-distinct sites (fractional):
Pu 0.000 0.142 0.025 x8
Tc 0.000 0.000 0.500 x4
N 0.000 0.181 0.428 x8
N 0.250 0.017 0.750 x8



Record 4
PuZr2TcN4: theoretical powder diffraction line list (Cu Kα, 1.54184 Å), based on a GGA-PBE-relaxed structure.
Neutral-atom scattering factors, no anomalous dispersion.

Peak list (10 most intense, 2θ from 15° to 90°, in order of falling intensity)
d [Å]	I (rel.)	h k l
2.713	100	1 1 2
2.251	83	1 3 2
2.851	59	0 4 0
3.137	52	0 2 3
2.818	47	0 0 4
5.635	44	0 0 2
1.767	32	1 5 2
2.399	32	1 3 1
2.004	32	0 4 4
1.607	24	2 0 0

Structure:
Cell lengths 3.216, 11.404, 11.270 Å; angles 90.00, 90.00, 90.00 degrees
Space group Cmcm (No. 63)
Symmetry-distinct sites (fractional):
Pu 0.000 0.116 0.250 x4
Zr 0.000 0.370 0.046 x8
Tc 0.000 0.146 0.750 x4
N 0.000 0.000 0.000 x4
N 0.000 0.271 0.618 x8
N 0.000 0.467 0.250 x4



Record 5
Pu3Te2N: theoretical powder diffraction line list (Cu Kα, 1.54184 Å), based on a GGA-PBE-relaxed structure.
Neutral-atom scattering factors, no anomalous dispersion.

Peak list (10 most intense, 2θ from 15° to 90°, in order of falling intensity)
d [Å]	I (rel.)	h k l
3.105	100	0 2 0
2.957	98	2 0 2
2.919	91	3 1 -2
2.346	78	5 1 0
2.141	67	2 2 2
3.349	42	1 1 -2
2.838	32	4 0 -2
2.096	31	4 2 -2
3.493	25	3 1 0
1.755	24	3 3 -2

Structure:
Cell lengths 13.134, 6.211, 7.961 Å; angles 90.00, 105.27, 90.00 degrees
Space group C2/c (No. 15)
Symmetry-distinct sites (fractional):
Pu 0.000 0.055 0.250 x4
Pu 0.121 0.481 0.600 x8
Te 0.183 0.018 0.078 x8
N 0.000 0.410 0.250 x4



Record 6
Pu2Te2N: theoretical powder diffraction line list (Cu Kα, 1.54184 Å), based on a GGA-PBE-relaxed structure.
Neutral-atom scattering factors, no anomalous dispersion.

Peak list (10 most intense, 2θ from 15° to 90°, in order of falling intensity)
d [Å]	I (rel.)	h k l
2.926	100	2 1 1
2.960	85	0 0 2
2.414	77	2 3 1
2.511	64	1 4 1
3.020	56	0 4 0
2.114	49	0 4 2
3.620	44	1 2 1
3.503	43	2 0 0
1.811	32	2 4 2
2.261	29	2 0 2

Structure:
Cell lengths 7.009, 12.080, 5.919 Å; angles 90.00, 90.00, 90.00 degrees
Space group Ibam (No. 72)
Symmetry-distinct sites (fractional):
Pu 0.181 0.096 0.000 x8
Te 0.153 0.355 0.000 x8
N 0.000 0.000 0.250 x4



Record 7
PuTeN: theoretical powder diffraction line list (Cu Kα, 1.54184 Å), based on a GGA-PBE-relaxed structure.
Neutral-atom scattering factors, no anomalous dispersion.

Peak list (10 most intense, 2θ from 15° to 90°, in order of falling intensity)
d [Å]	I (rel.)	h k l
2.574	100	1 0 5
3.241	86	1 0 3
2.798	73	1 1 0
1.689	54	1 1 8
1.569	45	2 1 5
1.978	32	2 0 0
1.446	14	2 0 8
1.251	13	3 1 0
1.238	12	1 0 13
2.119	11	0 0 8

Structure:
Cell lengths 3.957, 3.957, 16.950 Å; angles 90.00, 90.00, 90.00 degrees
Space group I4/mmm (No. 139)
Symmetry-distinct sites (fractional):
Pu 0.000 0.000 0.186 x4
Te 0.000 0.000 0.417 x4
N 0.000 0.500 0.250 x4



Record 8
Pu3Te2N2: theoretical powder diffraction line list (Cu Kα, 1.54184 Å), based on a GGA-PBE-relaxed structure.
Neutral-atom scattering factors, no anomalous dispersion.

Peak list (10 most intense, 2θ from 15° to 90°, in order of falling intensity)
d [Å]	I (rel.)	h k l
2.959	100	1 1 1
2.609	71	3 1 -2
3.033	56	4 0 -1
2.519	30	2 0 -3
1.587	29	7 1 -3
1.829	24	5 1 0
1.656	20	4 2 -1
1.977	18	0 2 0
2.231	17	2 0 2
1.555	14	2 2 -3

Structure:
Cell lengths 12.309, 3.954, 7.649 Å; angles 90.00, 123.06, 90.00 degrees
Space group C2/m (No. 12)
Symmetry-distinct sites (fractional):
Pu 0.000 0.000 0.000 x2
Pu 0.193 0.000 0.772 x4
Te 0.075 0.500 0.354 x4
N 0.199 0.000 0.073 x4



Record 9
Pu4Th3N8: theoretical powder diffraction line list (Cu Kα, 1.54184 Å), based on a GGA-PBE-relaxed structure.
Neutral-atom scattering factors, no anomalous dispersion.

Peak list (10 most intense, 2θ from 15° to 90°, in order of falling intensity)
d [Å]	I (rel.)	h k l
2.915	100	2 2 0
2.895	98	2 2 -2
1.784	47	0 4 2
2.529	45	0 4 0
2.520	44	0 0 2
2.498	43	4 0 -2
1.524	32	2 2 2
1.777	31	4 4 -2
1.514	31	6 2 -2
1.457	16	4 4 0

Structure:
Cell lengths 9.994, 10.115, 7.061 Å; angles 90.00, 134.46, 90.00 degrees
Space group C2/m (No. 12)
Symmetry-distinct sites (fractional):
Pu 0.000 0.000 0.000 x2
Pu 0.000 0.000 0.500 x2
Pu 0.250 0.250 0.000 x4
Th 0.000 0.500 0.000 x2
Th 0.250 0.250 0.500 x4
N 0.000 0.226 0.500 x4
N 0.000 0.250 0.000 x4
N 0.220 0.000 0.950 x4
N 0.223 0.000 0.493 x4



Record 10
Pu2ThN3: theoretical powder diffraction line list (Cu Kα, 1.54184 Å), based on a GGA-PBE-relaxed structure.
Neutral-atom scattering factors, no anomalous dispersion.

Peak list (10 most intense, 2θ from 15° to 90°, in order of falling intensity)
d [Å]	I (rel.)	h k l
2.908	100	1 0 3
1.781	46	2 0 0
2.522	44	1 1 0
1.520	31	2 1 3
2.513	21	0 0 6
1.454	16	2 0 6
1.516	15	1 0 9
1.127	15	3 1 0
1.155	13	2 1 9
1.124	7	1 1 12

Structure:
Cell lengths 3.566, 3.566, 15.076 Å; angles 90.00, 90.00, 90.00 degrees
Space group I4/mmm (No. 139)
Symmetry-distinct sites (fractional):
Pu 0.000 0.000 0.170 x4
Th 0.000 0.000 0.500 x2
N 0.000 0.000 0.000 x2
N 0.000 0.000 0.329 x4



Record 11
PuTh3N6: theoretical powder diffraction line list (Cu Kα, 1.54184 Å), based on a GGA-PBE-relaxed structure.
Neutral-atom scattering factors, no anomalous dispersion.

Peak list (10 most intense, 2θ from 15° to 90°, in order of falling intensity)
d [Å]	I (rel.)	h k l
3.062	100	1 1 0
3.051	95	1 0 4
1.767	68	3 0 0
2.162	41	0 2 4
1.157	24	4 1 0
1.369	18	4 -3 4
1.760	16	0 1 8
1.531	14	2 2 0
1.366	14	3 -2 8
1.931	11	1 1 6

Structure:
Cell lengths 6.1250, 6.1250, 14.9210 Å; angles 90.00, 90.00, 120.00 degrees
Space group R3 (No. 146, hexagonal axes)
Symmetry-distinct sites (fractional):
Pu 0.0000 0.0000 0.0000 x3
Th 0.0000 0.0000 0.2253 x3
Th 0.0000 0.0000 0.4894 x3
Th 0.0000 0.0000 0.7202 x3
N 0.0141 0.7363 0.0931 x9
N 0.0167 0.3900 0.2660 x9



Record 12
PuTh2VN4: theoretical powder diffraction line list (Cu Kα, 1.54184 Å), based on a GGA-PBE-relaxed structure.
Neutral-atom scattering factors, no anomalous dispersion.

Peak list (10 most intense, 2θ from 15° to 90°, in order of falling intensity)
d [Å]	I (rel.)	h k l
2.933	100	1 1 2
3.372	98	0 2 3
2.403	64	1 3 2
2.964	54	0 4 0
2.554	39	1 3 1
1.980	38	1 1 5
3.075	31	0 0 4
1.791	29	1 3 5
1.685	24	0 2 7
1.867	23	1 5 2

Structure:
Cell lengths 3.478, 11.856, 12.302 Å; angles 90.00, 90.00, 90.00 degrees
Space group Cmcm (No. 63)
Symmetry-distinct sites (fractional):
Pu 0.000 0.103 0.250 x4
Th 0.000 0.366 0.047 x8
V 0.000 0.167 0.750 x4
N 0.000 0.000 0.000 x4
N 0.000 0.273 0.634 x8
N 0.000 0.419 0.250 x4



Record 13
PuU3N6: theoretical powder diffraction line list (Cu Kα, 1.54184 Å), based on a GGA-PBE-relaxed structure.
Neutral-atom scattering factors, no anomalous dispersion.

Peak list (10 most intense, 2θ from 15° to 90°, in order of falling intensity)
d [Å]	I (rel.)	h k l
3.112	100	2 2 0
3.018	95	0 2 1
1.887	57	2 4 1
2.624	55	2 0 1
1.607	31	4 2 1
2.715	30	0 4 0
1.568	28	2 2 2
1.233	20	6 2 0
1.181	17	0 2 3
1.634	17	2 6 0

Structure:
Cell lengths 7.596, 10.861, 3.629 Å; angles 90.00, 90.00, 90.00 degrees
Space group Cmmm (No. 65)
Symmetry-distinct sites (fractional):
Pu 0.000 0.000 0.000 x2
U 0.000 0.500 0.000 x2
U 0.250 0.250 0.500 x4
N 0.000 0.151 0.500 x4
N 0.209 0.372 0.000 x8